(1)
For CsAgC2, a cell relaxed with PBE gives the simulated XRD peak list in this record (Cu Kα X-rays).
Neutral-atom scattering factors, no anomalous dispersion.

Crystal structure
a = 5.3194 Å, b = 5.3194 Å, c = 9.0360 Å
α = 90.00°, β = 90.00°, γ = 90.00°
Space group P4_2/mmc (No. 131)
Inequivalent atoms, fractional coordinates:
Cs1 0.0000 0.0000 0.2500 [2 per cell]
Ag1 0.5000 0.5000 0.0000 [2 per cell]
C1 0.1175 0.5000 0.0000 [4 per cell]

Most intense lines, 15 to 90 degrees two-theta, by angle:
2θ 23.65, intensity 52; 2θ 25.87, intensity 100; 2θ 33.70, intensity 27; 2θ 42.97, intensity 46; 2θ 46.92, intensity 17; 2θ 53.20, intensity 14; 2θ 54.55, intensity 12; 2θ 55.69, intensity 12; 2θ 66.69, intensity 13; 2θ 69.70, intensity 11



(2)
For SrSn6, a cell relaxed with PBE gives the simulated XRD peak list in this record (Cu Kα X-rays).
Neutral-atom scattering factors, no anomalous dispersion.

Crystal structure
a = 8.1460 Å, b = 8.1460 Å, c = 8.1460 Å
α = 90.00°, β = 90.00°, γ = 90.00°
Space group Im-3m (No. 229)
Inequivalent atoms, fractional coordinates:
Sr1 0.0000 0.0000 0.0000 [2 per cell]
Sn1 0.0000 0.2500 0.5000 [12 per cell]

Most intense lines, 15 to 90 degrees two-theta, by angle:
2θ 15.38, intensity 39; 2θ 21.82, intensity 41; 2θ 26.81, intensity 100; 2θ 38.28, intensity 49; 2θ 41.48, intensity 63; 2θ 44.49, intensity 40; 2θ 62.44, intensity 19; 2θ 64.74, intensity 27; 2θ 71.38, intensity 20; 2θ 77.77, intensity 21



(3)
For NdTmNp2As4, a cell relaxed with PBE gives the simulated XRD peak list in this record (Cu Kα X-rays).
Neutral-atom scattering factors, no anomalous dispersion.

Crystal structure
a = 7.1721 Å, b = 4.1161 Å, c = 7.1740 Å
α = 90.00°, β = 109.26°, γ = 90.00°
Space group P2/m (No. 10)
Inequivalent atoms, fractional coordinates:
Nd1 0.0000 0.0000 0.0000 [1 per cell]
Tm1 0.0000 0.5000 0.5000 [1 per cell]
Np1 0.5000 0.0000 0.5000 [1 per cell]
Np2 0.5000 0.5000 0.0000 [1 per cell]
As1 0.2528 0.0000 0.7444 [2 per cell]
As2 0.2580 0.5000 0.2592 [2 per cell]

Most intense lines, 15 to 90 degrees two-theta, by angle:
2θ 26.32, intensity 18; 2θ 26.48, intensity 17; 2θ 30.58, intensity 100; 2θ 43.59, intensity 13; 2θ 43.79, intensity 50; 2θ 44.00, intensity 12; 2θ 54.18, intensity 13; 2θ 54.52, intensity 13; 2θ 63.66, intensity 12; 2θ 72.25, intensity 23



(4)
For PrGe2Rh4, a cell relaxed with PBE gives the simulated XRD peak list in this record (Cu Kα X-rays).
Neutral-atom scattering factors, no anomalous dispersion.

Crystal structure
a = 7.7941 Å, b = 7.7941 Å, c = 3.9156 Å
α = 90.00°, β = 90.00°, γ = 90.00°
Space group P4_2/mnm (No. 136)
Inequivalent atoms, fractional coordinates:
Pr1 0.0000 0.0000 0.0000 [2 per cell]
Ge1 0.2258 0.2258 0.5000 [4 per cell]
Rh1 0.0781 0.6602 0.5000 [8 per cell]

Most intense lines, 15 to 90 degrees two-theta, by angle:
2θ 34.45, intensity 100; 2θ 36.45, intensity 43; 2θ 40.01, intensity 38; 2θ 43.38, intensity 58; 2θ 46.38, intensity 29; 2θ 48.13, intensity 22; 2θ 53.85, intensity 12; 2θ 60.38, intensity 19; 2θ 64.34, intensity 29; 2θ 69.07, intensity 14



(5)
For NbCr3Ag2S8, a cell relaxed with PBE gives the simulated XRD peak list in this record (Cu Kα X-rays).
Neutral-atom scattering factors, no anomalous dispersion.

Crystal structure
a = 5.9934 Å, b = 6.9313 Å, c = 6.5100 Å
α = 90.00°, β = 91.81°, γ = 90.00°
Space group P2/m (No. 10)
Inequivalent atoms, fractional coordinates:
Nb1 0.0000 0.0000 0.0000 [1 per cell]
Cr1 0.0000 0.5000 0.0000 [1 per cell]
Cr2 0.5000 0.2465 0.0000 [2 per cell]
Ag1 0.5000 0.2736 0.5000 [2 per cell]
S1 0.1757 0.2564 0.2138 [4 per cell]
S2 0.3260 0.5000 0.8013 [2 per cell]
S3 0.3307 0.0000 0.7798 [2 per cell]

Most intense lines, 15 to 90 degrees two-theta, by angle:
2θ 19.83, intensity 52; 2θ 20.47, intensity 46; 2θ 29.20, intensity 38; 2θ 29.80, intensity 94; 2θ 33.08, intensity 24; 2θ 40.28, intensity 58; 2θ 40.58, intensity 50; 2θ 41.26, intensity 100; 2θ 41.63, intensity 30; 2θ 52.89, intensity 80



(6)
For Rb2PrInS4, a cell relaxed with PBE gives the simulated XRD peak list in this record (Cu Kα X-rays).
Neutral-atom scattering factors, no anomalous dispersion.

Crystal structure
a = 8.4147 Å, b = 8.7112 Å, c = 12.2586 Å
α = 90.00°, β = 90.00°, γ = 90.00°
Space group Imma (No. 74)
Inequivalent atoms, fractional coordinates:
Rb1 0.0000 0.0000 0.0000 [4 per cell]
Rb2 0.2500 0.2500 0.2500 [4 per cell]
Pr1 0.0000 0.0000 0.5000 [4 per cell]
In1 0.2500 0.2500 0.7500 [4 per cell]
S1 0.0000 0.0460 0.7384 [8 per cell]
S2 0.2222 0.2500 0.5193 [8 per cell]

Most intense lines, 15 to 90 degrees two-theta, by angle:
2θ 25.08, intensity 47; 2θ 25.68, intensity 42; 2θ 29.14, intensity 53; 2θ 29.52, intensity 100; 2θ 41.46, intensity 17; 2θ 41.96, intensity 71; 2θ 49.41, intensity 19; 2θ 51.48, intensity 18; 2θ 52.78, intensity 18; 2θ 68.66, intensity 18